Entry 1:
Theoretical powder XRD pattern of Na5B8C2 for copper Kα, from a DFT-relaxed cell (PBE, Alexandria).

Most intense lines, 15 to 90 degrees two-theta, by angle:
2θ = 35.1°, I 22
2θ = 41.0°, I 100
2θ = 41.5°, I 53
2θ = 41.8°, I 38
2θ = 63.8°, I 17
2θ = 79.2°, I 17

Cell and atoms:
Lattice parameters (Å, degrees): 8.6502 7.8273 7.8273 142.50 90.00 90.00
Atoms (fractional coordinates):
Na 0.2483 0.0999 0.9001
Na 0.2483 0.9001 0.0999
Na 0.2492 0.4991 0.4991
Na 0.2506 0.3039 0.7046
Na 0.2506 0.7046 0.3039
Na 0.7494 0.3039 0.7046
Na 0.7494 0.7046 0.3039
Na 0.7508 0.4991 0.4991
Na 0.7517 0.0999 0.9001
Na 0.7517 0.9001 0.0999
B 0.0000 0.0057 0.3906
B 0.0000 0.0221 0.6192
B 0.0000 0.1642 0.1642
B 0.0000 0.3906 0.0057
B 0.0000 0.5714 0.7600
B 0.0000 0.6192 0.0221
B 0.0000 0.7600 0.5714
B 0.5000 0.0378 0.6455
B 0.5000 0.2267 0.4083
B 0.5000 0.3877 0.9845
B 0.5000 0.4083 0.2267
B 0.5000 0.5591 0.7634
B 0.5000 0.6455 0.0378
B 0.5000 0.7634 0.5591
B 0.5000 0.8319 0.8319
B 0.5000 0.9845 0.3877
C 0.0000 0.2337 0.4237
C 0.0000 0.4237 0.2337
C 0.0000 0.8278 0.8278
C 0.5000 0.1558 0.1558

---

Entry 2:
Theoretical powder XRD pattern of Na4B7C for copper Kα, from a DFT-relaxed cell (PBE, Alexandria).

Most intense lines, 15 to 90 degrees two-theta, by angle:
2θ = 35.1°, I 19
2θ = 40.4°, I 49
2θ = 41.0°, I 100
2θ = 41.8°, I 35
2θ = 62.0°, I 18
2θ = 77.6°, I 17

Cell and atoms:
Lattice parameters (Å, degrees): 2.9354 8.6400 10.4390 90.00 90.00 90.00
Atoms (fractional coordinates):
Na 0.0000 0.2473 0.0000
Na 0.0000 0.2519 0.5029
Na 0.0000 0.7481 0.5029
Na 0.0000 0.7527 0.0000
Na 0.5000 0.2477 0.7517
Na 0.5000 0.2523 0.2514
Na 0.5000 0.7477 0.2514
Na 0.5000 0.7523 0.7517
B 0.0000 0.0000 0.1711
B 0.0000 0.0000 0.3385
B 0.0000 0.0000 0.6678
B 0.0000 0.0000 0.8299
B 0.0000 0.5000 0.1641
B 0.0000 0.5000 0.3293
B 0.0000 0.5000 0.8324
B 0.5000 0.0000 0.0849
B 0.5000 0.0000 0.4150
B 0.5000 0.0000 0.5828
B 0.5000 0.0000 0.9230
B 0.5000 0.5000 0.0614
B 0.5000 0.5000 0.4296
B 0.5000 0.5000 0.6010
C 0.0000 0.5000 0.6770
C 0.5000 0.5000 0.9105

---

Entry 3:
Theoretical powder XRD pattern of Na5B8C2 for copper Kα, from a DFT-relaxed cell (PBE, Alexandria).

Most intense lines, 15 to 90 degrees two-theta, by angle:
2θ = 36.2°, I 16
2θ = 39.9°, I 49
2θ = 41.7°, I 38
2θ = 41.9°, I 100
2θ = 62.1°, I 18
2θ = 77.6°, I 17

Cell and atoms:
Lattice parameters (Å, degrees): 8.6659 13.3052 13.3052 12.13 90.00 90.00
Atoms (fractional coordinates):
Na 0.2482 0.0000 0.0000
Na 0.2503 0.2006 0.2006
Na 0.2496 0.7997 0.7997
Na 0.2512 0.3995 0.3995
Na 0.2510 0.6011 0.6011
Na 0.7488 0.3995 0.3995
Na 0.7490 0.6011 0.6011
Na 0.7497 0.2006 0.2006
Na 0.7504 0.7997 0.7997
Na 0.7518 0.0000 0.0000
B 0.0000 0.0778 0.0778
B 0.0000 0.2590 0.2590
B 0.0000 0.3256 0.3256
B 0.0000 0.4731 0.4731
B 0.0000 0.5362 0.5362
B 0.0000 0.6674 0.6674
B 0.0000 0.8661 0.8661
B 0.0000 0.9302 0.9302
B 0.5000 0.0674 0.0674
B 0.5000 0.1306 0.1306
B 0.5000 0.3291 0.3291
B 0.5000 0.5248 0.5248
B 0.5000 0.6725 0.6725
B 0.5000 0.7384 0.7384
B 0.5000 0.8691 0.8691
B 0.5000 0.9351 0.9351
C 0.0000 0.1367 0.1367
C 0.0000 0.7286 0.7286
C 0.5000 0.2692 0.2692
C 0.5000 0.4664 0.4664

---

Entry 4:
Theoretical powder XRD pattern of Na5B8C2 for copper Kα, from a DFT-relaxed cell (PBE, Alexandria).

Most intense lines, 15 to 90 degrees two-theta, by angle:
2θ = 35.3°, I 19
2θ = 41.2°, I 100
2θ = 42.1°, I 24
2θ = 63.3°, I 18
2θ = 76.4°, I 12
2θ = 79.0°, I 17

Cell and atoms:
Lattice parameters (Å, degrees): 2.9390 2.9390 42.9172 90.00 90.00 120.00
Atoms (fractional coordinates):
Na 0.0000 0.0000 0.0000
Na 0.0000 0.0000 0.0980
Na 0.0000 0.0000 0.1991
Na 0.0000 0.0000 0.3009
Na 0.0000 0.0000 0.4020
Na 0.0000 0.0000 0.5000
Na 0.0000 0.0000 0.5980
Na 0.0000 0.0000 0.6991
Na 0.0000 0.0000 0.8009
Na 0.0000 0.0000 0.9020
B 0.3333 0.6667 0.0489
B 0.3333 0.6667 0.1486
B 0.3333 0.6667 0.2500
B 0.3333 0.6667 0.3514
B 0.3333 0.6667 0.4511
B 0.3333 0.6667 0.6486
B 0.3333 0.6667 0.7500
B 0.3333 0.6667 0.8514
B 0.6667 0.3333 0.1486
B 0.6667 0.3333 0.2500
B 0.6667 0.3333 0.3514
B 0.6667 0.3333 0.5489
B 0.6667 0.3333 0.6486
B 0.6667 0.3333 0.7500
B 0.6667 0.3333 0.8514
B 0.6667 0.3333 0.9511
C 0.3333 0.6667 0.5488
C 0.3333 0.6667 0.9512
C 0.6667 0.3333 0.0488
C 0.6667 0.3333 0.4512

---

Entry 5:
Theoretical powder XRD pattern of Na8B15C for copper Kα, from a DFT-relaxed cell (PBE, Alexandria).

Most intense lines, 15 to 90 degrees two-theta, by angle:
2θ = 34.5°, I 20
2θ = 40.5°, I 100
2θ = 41.9°, I 23
2θ = 61.7°, I 18
2θ = 75.5°, I 12
2θ = 77.4°, I 17

Cell and atoms:
Lattice parameters (Å, degrees): 3.0047 3.0047 34.5112 90.00 90.00 120.00
Atoms (fractional coordinates):
Na 0.0000 0.0000 0.0611
Na 0.0000 0.0000 0.1862
Na 0.0000 0.0000 0.3119
Na 0.0000 0.0000 0.4373
Na 0.0000 0.0000 0.5627
Na 0.0000 0.0000 0.6881
Na 0.0000 0.0000 0.8138
Na 0.0000 0.0000 0.9389
B 0.3333 0.6667 0.0000
B 0.3333 0.6667 0.1237
B 0.3333 0.6667 0.2491
B 0.3333 0.6667 0.3745
B 0.3333 0.6667 0.5000
B 0.3333 0.6667 0.6255
B 0.3333 0.6667 0.7509
B 0.3333 0.6667 0.8763
B 0.6667 0.3333 0.1237
B 0.6667 0.3333 0.2491
B 0.6667 0.3333 0.3745
B 0.6667 0.3333 0.5000
B 0.6667 0.3333 0.6255
B 0.6667 0.3333 0.7509
B 0.6667 0.3333 0.8763
C 0.6667 0.3333 0.0000

---

Entry 6:
Theoretical powder XRD pattern of Na4B7C for copper Kα, from a DFT-relaxed cell (PBE, Alexandria).

Most intense lines, 15 to 90 degrees two-theta, by angle:
2θ = 35.3°, I 18
2θ = 40.0°, I 49
2θ = 41.2°, I 100
2θ = 41.8°, I 36
2θ = 61.6°, I 18
2θ = 75.9°, I 13

Cell and atoms:
Lattice parameters (Å, degrees): 17.5577 17.5577 5.2882 98.57 98.57 9.46
Atoms (fractional coordinates):
Na 0.0000 0.0000 0.0000
Na 0.1245 0.1245 0.1232
Na 0.2506 0.2506 0.2489
Na 0.3745 0.3745 0.3729
Na 0.5006 0.5006 0.4993
Na 0.6250 0.6250 0.6250
Na 0.7500 0.7500 0.7504
Na 0.8750 0.8750 0.8754
B 0.0624 0.0624 0.4003
B 0.0628 0.0628 0.7235
B 0.1875 0.1875 0.5331
B 0.1875 0.1875 0.8669
B 0.3125 0.3125 0.6504
B 0.3125 0.3125 0.9736
B 0.4375 0.4375 0.1169
B 0.4375 0.4375 0.7831
B 0.5622 0.5622 0.2230
B 0.5626 0.5626 0.9005
B 0.6875 0.6875 0.3220
B 0.8125 0.8125 0.4726
B 0.8125 0.8125 0.1510
B 0.9375 0.9375 0.5720
C 0.6875 0.6875 0.0241
C 0.9375 0.9375 0.2742

---

Entry 7:
Theoretical powder XRD pattern of Na4B7C for copper Kα, from a DFT-relaxed cell (PBE, Alexandria).

Most intense lines, 15 to 90 degrees two-theta, by angle:
2θ = 35.8°, I 12
2θ = 39.5°, I 37
2θ = 41.6°, I 100
2θ = 61.3°, I 14
2θ = 75.9°, I 11
2θ = 76.8°, I 13

Cell and atoms:
Lattice parameters (Å, degrees): 9.1973 9.1973 9.1973 162.28 38.54 146.06
Atoms (fractional coordinates):
Na 0.1247 0.0000 0.1247
Na 0.3759 0.0015 0.3744
Na 0.6271 0.0015 0.6256
Na 0.8753 0.0000 0.8753
B 0.0945 0.3451 0.7494
B 0.1529 0.6529 0.5000
B 0.3663 0.3663 0.0000
B 0.4062 0.6560 0.7501
B 0.5957 0.3451 0.2506
B 0.8187 0.3187 0.5000
B 0.9059 0.6560 0.2499
C 0.6623 0.6623 0.0000

---

Entry 8:
Theoretical powder XRD pattern of Na10B13C7 for copper Kα, from a DFT-relaxed cell (PBE, Alexandria).

Most intense lines, 15 to 90 degrees two-theta, by angle:
2θ = 36.4°, I 17
2θ = 41.3°, I 25
2θ = 41.5°, I 25
2θ = 42.3°, I 100
2θ = 42.4°, I 38
2θ = 64.1°, I 17

Cell and atoms:
Lattice parameters (Å, degrees): 11.5477 11.5477 9.9107 107.40 107.40 14.06
Atoms (fractional coordinates):
Na 0.0000 0.0000 0.0000
Na 0.0998 0.0998 0.6982
Na 0.1980 0.1980 0.3979
Na 0.2995 0.2995 0.0948
Na 0.3981 0.3981 0.8004
Na 0.4999 0.4999 0.4976
Na 0.5999 0.5999 0.1991
Na 0.6993 0.6993 0.8979
Na 0.7967 0.7967 0.5984
Na 0.8998 0.8998 0.2952
B 0.0186 0.0186 0.2841
B 0.1855 0.1855 0.1207
B 0.2118 0.2118 0.6745
B 0.3716 0.3716 0.4947
B 0.4218 0.4218 0.0932
B 0.5231 0.5231 0.7939
B 0.5911 0.5911 0.9307
B 0.6153 0.6153 0.4784
B 0.7789 0.7789 0.3099
B 0.8089 0.8089 0.8699
B 0.8808 0.8808 0.0131
B 0.9145 0.9145 0.5796
B 0.9806 0.9806 0.7100
C 0.0836 0.0836 0.4135
C 0.1219 0.1219 0.9928
C 0.2768 0.2768 0.8062
C 0.3103 0.3103 0.3742
C 0.4863 0.4863 0.2194
C 0.6801 0.6801 0.6100
C 0.7163 0.7163 0.1829

---

Entry 9:
Theoretical powder XRD pattern of Na5B9C for copper Kα, from a DFT-relaxed cell (PBE, Alexandria).

Most intense lines, 15 to 90 degrees two-theta, by angle:
2θ = 34.6°, I 21
2θ = 40.6°, I 100
2θ = 41.0°, I 51
2θ = 41.6°, I 36
2θ = 62.6°, I 17
2θ = 78.1°, I 17

Cell and atoms:
Lattice parameters (Å, degrees): 5.1163 8.6757 7.9332 90.00 108.81 90.00
Atoms (fractional coordinates):
Na 0.0000 0.0000 0.0000
Na 0.0000 0.5000 0.0000
Na 0.2023 0.0011 0.3989
Na 0.2023 0.4989 0.3989
Na 0.3965 0.5014 0.7994
Na 0.3965 0.9986 0.7994
Na 0.6035 0.0014 0.2006
Na 0.6035 0.4986 0.2006
Na 0.7977 0.5011 0.6011
Na 0.7977 0.9989 0.6011
B 0.0680 0.7500 0.8056
B 0.1195 0.7500 0.6008
B 0.1277 0.2500 0.6182
B 0.2613 0.7500 0.2001
B 0.2813 0.2500 0.2008
B 0.3098 0.2500 0.9819
B 0.3356 0.7500 0.9976
B 0.4619 0.2500 0.5978
B 0.4624 0.7500 0.5941
B 0.5376 0.2500 0.4059
B 0.5381 0.7500 0.4022
B 0.6644 0.2500 0.0024
B 0.6902 0.7500 0.0181
B 0.7187 0.7500 0.7992
B 0.7387 0.2500 0.7999
B 0.8723 0.7500 0.3818
B 0.8805 0.2500 0.3992
B 0.9320 0.2500 0.1944
C 0.0586 0.2500 0.8001
C 0.9414 0.7500 0.1999